In2Ag17: calculated X-ray diffraction stick pattern (copper Kα), based on DFT lattice parameters and positions (GGA-PBE).
Intensities are scaled so that the largest is 100.

Largest 10 diffraction maxima, sorted by position, 2θ from 10° to 90°:
- (3 0 0), 32.24°, d 2.777, rel. 35
- (0 2 4), 33.08°, d 2.708, rel. 26
- (2 2 0), 37.39°, d 2.405, rel. 56
- (0 3 3), 37.51°, d 2.398, rel. 100
- (0 0 6), 37.87°, d 2.376, rel. 33
- (2 2 3), 42.11°, d 2.146, rel. 80
- (1 1 6), 42.43°, d 2.130, rel. 27
- (3 3 3), 60.99°, d 1.519, rel. 19
- (6 0 0), 67.45°, d 1.388, rel. 26
- (6 0 6), 80.05°, d 1.199, rel. 19

Structural model:
Cell: 9.6195 9.6195 14.2563 Å, 90.00 90.00 120.00°
Space group R-3m (No. 166, hexagonal axes)
Inequivalent atoms, fractional coordinates:
In1 0.0000 0.0000 0.1427 x6
Ag1 0.0000 0.0000 0.4004 x6
Ag2 0.0000 0.3076 0.5000 x18
Ag3 0.0000 0.5000 0.0000 x9
Ag4 0.0028 0.5014 0.6543 x18

InAg2Ir: calculated X-ray diffraction stick pattern (copper Kα), based on DFT lattice parameters and positions (GGA-PBE).
Intensities are scaled so that the largest is 100.

Largest 10 diffraction maxima, sorted by position, 2θ from 10° to 90°:
- (0 0 6), 19.12°, d 4.642, rel. 4
- (1 0 4), 37.02°, d 2.428, rel. 100
- (0 0 12), 38.80°, d 2.321, rel. 28
- (0 1 8), 43.54°, d 2.079, rel. 62
- (1 1 0), 62.04°, d 1.496, rel. 21
- (1 0 16), 64.49°, d 1.445, rel. 18
- (0 2 4), 74.50°, d 1.274, rel. 12
- (1 1 12), 75.63°, d 1.257, rel. 23
- (0 1 20), 77.88°, d 1.227, rel. 10
- (2 0 8), 78.83°, d 1.214, rel. 11

Structural model:
Cell: 2.9919 2.9919 27.8515 Å, 90.00 90.00 120.00°
Space group R3m (No. 160, hexagonal axes)
Inequivalent atoms, fractional coordinates:
In1 0.0000 0.0000 0.0000 x3
Ag1 0.0000 0.0000 0.5072 x3
Ag2 0.0000 0.0000 0.7558 x3
Ir1 0.0000 0.0000 0.2563 x3

InAgIr: calculated X-ray diffraction stick pattern (copper Kα), based on DFT lattice parameters and positions (GGA-PBE).
Intensities are scaled so that the largest is 100.

Largest 10 diffraction maxima, sorted by position, 2θ from 10° to 90°:
- (0 0 1), 18.87°, d 4.704, rel. 38
- (0 1 0), 19.73°, d 4.501, rel. 32
- (1 0 1), 35.64°, d 2.519, rel. 14
- (1 1 0), 36.12°, d 2.487, rel. 15
- (0 0 2), 38.27°, d 2.352, rel. 30
- (0 2 0), 40.07°, d 2.250, rel. 27
- (1 1 1), 41.06°, d 2.198, rel. 100
- (0 2 2), 56.61°, d 1.626, rel. 19
- (1 1 3), 71.08°, d 1.326, rel. 19
- (1 3 1), 73.47°, d 1.289, rel. 18

Structural model:
Cell: 2.9833 4.5007 4.7036 Å, 90.00 90.00 90.00°
Space group Pmmm (No. 47)
Inequivalent atoms, fractional coordinates:
In1 0.0000 0.0000 0.0000 x1
Ag1 0.0000 0.5000 0.5000 x1
Ir1 0.5000 0.5000 0.0000 x1

Pm5In2AgIr2: calculated X-ray diffraction stick pattern (copper Kα), based on DFT lattice parameters and positions (GGA-PBE).
Intensities are scaled so that the largest is 100.

Largest 10 diffraction maxima, sorted by position, 2θ from 10° to 90°:
- (2 1 0), 16.53°, d 5.364, rel. 29
- (4 1 0), 30.73°, d 2.909, rel. 26
- (3 3 0), 31.67°, d 2.826, rel. 25
- (3 1 1), 33.44°, d 2.680, rel. 100
- (3 2 1), 35.94°, d 2.499, rel. 39
- (4 0 1), 38.29°, d 2.351, rel. 15
- (0 0 2), 48.09°, d 1.892, rel. 14
- (5 5 0), 54.07°, d 1.696, rel. 18
- (4 2 2), 59.78°, d 1.547, rel. 12
- (5 5 2), 75.22°, d 1.263, rel. 9

Structural model:
Cell: 11.9949 11.9949 3.7843 Å, 90.00 90.00 90.00°
Space group P4/mbm (No. 127)
Inequivalent atoms, fractional coordinates:
Pm1 0.0000 0.5000 0.0000 x2
Pm2 0.0740 0.2045 0.0000 x8
In1 0.1771 0.6771 0.5000 x4
Ag1 0.0000 0.0000 0.5000 x2
Ir1 0.1337 0.3663 0.5000 x4

Sc5In2AgIr2: calculated X-ray diffraction stick pattern (copper Kα), based on DFT lattice parameters and positions (GGA-PBE).
Intensities are scaled so that the largest is 100.

Largest 10 diffraction maxima, sorted by position, 2θ from 10° to 90°:
- (1 1 0), 11.26°, d 7.861, rel. 15
- (2 1 0), 17.84°, d 4.972, rel. 24
- (3 1 0), 25.33°, d 3.516, rel. 47
- (0 0 1), 25.82°, d 3.451, rel. 26
- (4 1 0), 33.23°, d 2.696, rel. 14
- (3 3 0), 34.22°, d 2.620, rel. 20
- (4 2 0), 36.13°, d 2.486, rel. 15
- (3 1 1), 36.49°, d 2.463, rel. 100
- (3 2 1), 39.18°, d 2.299, rel. 31
- (4 0 1), 41.73°, d 2.165, rel. 19

Structural model:
Cell: 11.1173 11.1173 3.4508 Å, 90.00 90.00 90.00°
Space group P4/mbm (No. 127)
Inequivalent atoms, fractional coordinates:
Sc1 0.0000 0.5000 0.0000 x2
Sc2 0.0754 0.2011 0.0000 x8
In1 0.1707 0.6707 0.5000 x4
Ag1 0.0000 0.0000 0.5000 x2
Ir1 0.1337 0.3663 0.5000 x4

KIn6Ag: calculated X-ray diffraction stick pattern (copper Kα), based on DFT lattice parameters and positions (GGA-PBE).
Intensities are scaled so that the largest is 100.

Largest 10 diffraction maxima, sorted by position, 2θ from 10° to 90°:
- (1 0 1), 20.11°, d 4.416, rel. 37
- (1 0 2), 26.30°, d 3.389, rel. 29
- (1 1 1), 26.84°, d 3.322, rel. 38
- (1 1 2), 31.82°, d 2.812, rel. 27
- (2 0 0), 35.61°, d 2.521, rel. 79
- (1 1 3), 38.85°, d 2.318, rel. 100
- (2 1 2), 44.81°, d 2.023, rel. 13
- (2 2 0), 51.25°, d 1.783, rel. 27
- (3 1 3), 66.13°, d 1.413, rel. 40
- (2 0 6), 72.42°, d 1.305, rel. 18

Structural model:
Cell: 5.0421 5.0421 9.1521 Å, 90.00 90.00 90.00°
Space group P4/mmm (No. 123)
Inequivalent atoms, fractional coordinates:
K1 0.0000 0.0000 0.0000 x1
In1 0.0000 0.5000 0.3319 x4
In2 0.5000 0.5000 0.1564 x2
Ag1 0.0000 0.0000 0.5000 x1

K4InAg5: calculated X-ray diffraction stick pattern (copper Kα), based on DFT lattice parameters and positions (GGA-PBE).
Intensities are scaled so that the largest is 100.

Largest 10 diffraction maxima, sorted by position, 2θ from 10° to 90°:
- (0 1 0), 12.35°, d 7.166, rel. 100
- (1 0 1), 15.72°, d 5.637, rel. 29
- (0 2 1), 27.84°, d 3.205, rel. 47
- (1 -2 1), 34.44°, d 2.604, rel. 23
- (1 1 3), 34.67°, d 2.587, rel. 23
- (2 -1 1), 36.36°, d 2.471, rel. 18
- (2 1 3), 36.72°, d 2.448, rel. 17
- (2 3 0), 38.81°, d 2.321, rel. 19
- (2 2 3), 38.97°, d 2.311, rel. 24
- (0 3 1), 39.78°, d 2.266, rel. 18

Structural model:
Cell: 6.7630 7.8935 7.8975 Å, 79.87 65.18 65.18°
Space group P1 (No. 1)
Inequivalent atoms, fractional coordinates:
K1 0.0000 0.0000 0.0000 x1
K2 0.1600 0.4602 0.2169 x1
K3 0.3884 0.8391 0.3778 x1
K4 0.7715 0.6222 0.8382 x1
In1 0.8550 0.2298 0.6087 x1
Ag1 0.2735 0.2296 0.6081 x1
Ag2 0.3742 0.5009 0.7305 x1
Ag3 0.4946 0.1083 0.8792 x1
Ag4 0.6429 0.3531 0.3384 x1
Ag5 0.7644 0.9598 0.4859 x1

K2In2Ag: calculated X-ray diffraction stick pattern (copper Kα), based on DFT lattice parameters and positions (GGA-PBE).
Intensities are scaled so that the largest is 100.

Largest 10 diffraction maxima, sorted by position, 2θ from 10° to 90°:
- (1 1 0), 13.11°, d 6.751, rel. 100
- (2 0 0), 16.17°, d 5.481, rel. 98
- (2 2 0), 26.41°, d 3.375, rel. 31
- (3 1 0), 26.52°, d 3.361, rel. 53
- (1 3 0), 32.39°, d 2.764, rel. 59
- (4 0 0), 32.68°, d 2.740, rel. 29
- (1 1 3), 35.16°, d 2.552, rel. 61
- (0 2 3), 38.84°, d 2.318, rel. 27
- (2 2 3), 42.36°, d 2.134, rel. 78
- (4 2 3), 51.64°, d 1.770, rel. 23

Structural model:
Cell: 10.9611 8.5686 8.2710 Å, 90.00 90.00 90.00°
Space group Cmcm (No. 63)
Inequivalent atoms, fractional coordinates:
K1 0.1940 0.0000 0.0000 x8
In1 0.0000 0.3338 0.0812 x8
Ag1 0.0000 0.3597 0.7500 x4

KInAg2: calculated X-ray diffraction stick pattern (copper Kα), based on DFT lattice parameters and positions (GGA-PBE).
Intensities are scaled so that the largest is 100.

Largest 10 diffraction maxima, sorted by position, 2θ from 10° to 90°:
- (0 0 1), 11.44°, d 7.736, rel. 100
- (0 1 2), 31.14°, d 2.872, rel. 80
- (1 1 0), 35.56°, d 2.525, rel. 79
- (1 0 -2), 36.84°, d 2.440, rel. 25
- (1 0 2), 37.14°, d 2.421, rel. 25
- (1 1 -1), 37.40°, d 2.405, rel. 12
- (0 1 3), 40.84°, d 2.210, rel. 29
- (0 2 0), 42.16°, d 2.143, rel. 24
- (1 2 -2), 57.21°, d 1.610, rel. 13
- (1 2 2), 57.43°, d 1.605, rel. 13

Structural model:
Cell: 3.1241 4.2865 7.7363 Å, 90.00 90.47 90.00°
Space group P2/m (No. 10)
Inequivalent atoms, fractional coordinates:
K1 0.0000 0.0000 0.0000 x1
In1 0.0000 0.0000 0.5000 x1
Ag1 0.4997 0.5000 0.3105 x2

K3InAg3: calculated X-ray diffraction stick pattern (copper Kα), based on DFT lattice parameters and positions (GGA-PBE).
Intensities are scaled so that the largest is 100.

Largest 10 diffraction maxima, sorted by position, 2θ from 10° to 90°:
- (0 2 0), 14.16°, d 6.257, rel. 86
- (0 2 1), 15.33°, d 5.779, rel. 80
- (0 2 2), 18.43°, d 4.815, rel. 81
- (1 3 1), 28.55°, d 3.126, rel. 70
- (1 1 4), 30.61°, d 2.921, rel. 59
- (1 3 3), 33.22°, d 2.697, rel. 56
- (0 4 3), 33.75°, d 2.656, rel. 70
- (2 0 0), 36.14°, d 2.485, rel. 72
- (1 3 4), 36.87°, d 2.438, rel. 69
- (1 1 6), 40.87°, d 2.208, rel. 100

Structural model:
Cell: 4.9707 12.5135 15.0822 Å, 90.00 90.00 90.00°
Space group Cmcm (No. 63)
Inequivalent atoms, fractional coordinates:
K1 0.0000 0.0275 0.2500 x4
K2 0.0000 0.2697 0.6044 x8
In1 0.0000 0.0000 0.0000 x4
Ag1 0.0000 0.3433 0.2500 x4
Ag2 0.0000 0.4436 0.0830 x8

K2In2Ag15: calculated X-ray diffraction stick pattern (copper Kα), based on DFT lattice parameters and positions (GGA-PBE).
Intensities are scaled so that the largest is 100.

Largest 10 diffraction maxima, sorted by position, 2θ from 10° to 90°:
- (1 0 1), 12.00°, d 7.375, rel. 22
- (1 1 0), 17.85°, d 4.969, rel. 29
- (3 0 0), 31.17°, d 2.869, rel. 22
- (2 2 0), 36.15°, d 2.485, rel. 43
- (3 0 3), 36.55°, d 2.458, rel. 71
- (0 0 6), 37.73°, d 2.384, rel. 39
- (2 2 3), 40.96°, d 2.204, rel. 100
- (1 1 6), 42.03°, d 2.150, rel. 33
- (6 0 0), 65.01°, d 1.435, rel. 22
- (3 0 9), 67.34°, d 1.390, rel. 17

Structural model:
Cell: 9.9386 9.9386 14.3070 Å, 90.00 90.00 120.00°
Space group R-3m (No. 166, hexagonal axes)
Inequivalent atoms, fractional coordinates:
K1 0.0000 0.0000 0.1472 x6
In1 0.0000 0.0000 0.3965 x6
Ag1 0.0000 0.3068 0.5000 x18
Ag2 0.0000 0.5000 0.0000 x9
Ag3 0.0027 0.5014 0.3439 x18

KIn3Ag: calculated X-ray diffraction stick pattern (copper Kα), based on DFT lattice parameters and positions (GGA-PBE).
Intensities are scaled so that the largest is 100.

Largest 10 diffraction maxima, sorted by position, 2θ from 10° to 90°:
- (0 0 1), 13.88°, d 6.382, rel. 49
- (1 1 -1), 19.94°, d 4.452, rel. 74
- (1 1 -2), 28.16°, d 3.169, rel. 39
- (2 0 0), 29.97°, d 2.982, rel. 76
- (0 2 1), 30.16°, d 2.963, rel. 75
- (2 2 -1), 37.88°, d 2.375, rel. 100
- (2 0 1), 38.85°, d 2.318, rel. 59
- (0 2 2), 39.01°, d 2.309, rel. 58
- (1 1 2), 40.10°, d 2.249, rel. 45
- (2 2 2), 58.22°, d 1.585, rel. 22

Structural model:
Cell: 6.7445 6.6918 7.2135 Å, 90.00 117.78 90.00°
Space group Cm (No. 8)
Inequivalent atoms, fractional coordinates:
K1 0.0000 0.0000 0.0000 x2
In1 0.0108 0.2496 0.5218 x4
In2 0.1083 0.5000 0.2167 x2
Ag1 0.3898 0.0000 0.7795 x2